Diffraction record for Dy5Tm2Ru5. The powder XRD pattern is theoretical, not measured: it uses a structure optimized by DFT (PBE) and λ = 1.5418 Å (Cu Kα).
Peak positions follow from Bragg's law for the DFT cell and can differ from measured ones.

Largest 12 diffraction maxima, in order of rising 2θ, 15° ≤ 2θ ≤ 90°:
3.348 Å, I = 14, (2 0 -3); 2.859 Å, I = 19, (2 0 -4); 2.711 Å, I = 20, (2 0 3); 2.445 Å, I = 41, (1 1 4); 2.412 Å, I = 100, (0 2 0); 2.326 Å, I = 21, (2 0 4); 1.717 Å, I = 14, (4 0 3); 1.399 Å, I = 14, (4 2 3); 1.392 Å, I = 18, (6 0 -2); 1.375 Å, I = 8, (5 1 3); 1.327 Å, I = 8, (1 1 9); 1.206 Å, I = 11, (0 4 0)

Atomic structure:
```
data_Dy5Tm2Ru5
_chemical_formula_sum 'Dy10 Tm4 Ru10'
_space_group_name_H-M_alt 'C 1 2/m 1'
_space_group_IT_number 12
_space_group_name_Hall '-C 2y'
_cell_length_a 8.3564
_cell_length_b 4.8226
_cell_length_c 13.3581
_cell_angle_alpha 90.00
_cell_angle_beta 101.97
_cell_angle_gamma 90.00
loop_
_atom_site_label
_atom_site_type_symbol
_atom_site_fract_x
_atom_site_fract_y
_atom_site_fract_z
Dy1 Dy 0.0000 0.0000 0.0000
Dy2 Dy 0.1907 0.0000 0.5720
Dy3 Dy 0.2161 0.5000 0.1478
Tm1 Tm 0.0718 0.5000 0.7158
Ru1 Ru 0.0000 0.5000 0.5000
Ru2 Ru 0.1141 0.0000 0.3425
Ru3 Ru 0.1448 0.5000 0.9342
```